Diffraction record for Cs2LiBI6. The powder diffractogram is theoretical, not measured: it uses a GGA-PBE-relaxed structure and Cu Kα (λ = 1.5418 Å).

Structure:
Cell lengths 9.0287, 9.0287, 10.5765 Å; angles 90.00, 90.00, 90.00 degrees
Space group I4/mmm (No. 139)
One atom of each set of equivalent atoms:
Cs1 0.0000 0.5000 0.2500 [4 per cell]
Li1 0.0000 0.0000 0.0000 [2 per cell]
B1 0.0000 0.0000 0.5000 [2 per cell]
I1 0.0000 0.0000 0.3084 [4 per cell]
I2 0.2249 0.2249 0.0000 [8 per cell]

Peak list (10 most intense, 2θ from 15° to 90°, low angle first)
h k l	2theta	d (Å)	Rel. int.
2 1 1	23.58	3.772	9
2 0 2	25.95	3.433	100
1 0 3	27.15	3.284	10
2 2 0	27.95	3.192	48
3 0 1	30.89	2.895	8
0 0 4	33.90	2.644	10
4 0 0	39.94	2.257	16
3 2 3	44.37	2.042	11
2 2 4	44.49	2.036	16
4 2 2	48.25	1.886	29